For ErSb4Pd15, a structure optimized by DFT (GGA-PBE) gives the simulated powder XRD pattern in this record (Cu Kα, 1.54184 Å).

Top 7 peaks for 10 to 80 degrees two-theta, in order of rising 2θ:
2θ (°), Rel. int.
38.36, 100
44.41, 33
44.94, 16
64.62, 11
65.03, 20
77.72, 25
78.48, 12

Structural model:
a b c (Å): 4.0794 4.0794 20.1697
angles (deg): 90.00 90.00 90.00
Fractional positions:
Er  0.0000  0.0000  0.0000
Sb  0.0000  0.0000  0.1994
Sb  0.0000  0.0000  0.3999
Sb  0.0000  0.0000  0.6001
Sb  0.0000  0.0000  0.8006
Pd  0.0000  0.5000  0.1030
Pd  0.0000  0.5000  0.3012
Pd  0.0000  0.5000  0.5000
Pd  0.0000  0.5000  0.6988
Pd  0.0000  0.5000  0.8970
Pd  0.5000  0.0000  0.1030
Pd  0.5000  0.0000  0.3012
Pd  0.5000  0.0000  0.5000
Pd  0.5000  0.0000  0.6988
Pd  0.5000  0.0000  0.8970
Pd  0.5000  0.5000  0.0000
Pd  0.5000  0.5000  0.2037
Pd  0.5000  0.5000  0.4006
Pd  0.5000  0.5000  0.5994
Pd  0.5000  0.5000  0.7963


For Tb2MnSiRh6, a structure optimized by DFT (GGA-PBE) gives the simulated powder XRD pattern in this record (Cu Kα, 1.54184 Å).

Top 12 peaks for 10 to 80 degrees two-theta, in order of rising 2θ:
2θ (°), Rel. int.
30.56, 33
31.01, 36
31.58, 34
35.56, 47
36.98, 37
37.37, 32
38.64, 34
39.27, 88
41.23, 93
42.26, 100
44.54, 53
69.14, 31

Structural model:
a b c (Å): 6.1258 6.1258 7.4048
angles (deg): 124.19 124.19 52.69
Fractional positions:
Tb  0.0019  0.0019  0.2465
Tb  0.9981  0.9981  0.7535
Mn  0.5000  0.5000  0.0000
Si  0.5000  0.5000  0.5000
Rh  0.0128  0.5082  0.2024
Rh  0.3211  0.3211  0.5724
Rh  0.4918  0.9872  0.7976
Rh  0.5082  0.0128  0.2024
Rh  0.6789  0.6789  0.4276
Rh  0.9872  0.4918  0.7976


For TmCd23In6, a structure optimized by DFT (GGA-PBE) gives the simulated powder XRD pattern in this record (Cu Kα, 1.54184 Å).

Top 12 peaks for 10 to 80 degrees two-theta, in order of rising 2θ:
2θ (°), Rel. int.
27.87, 9
32.50, 9
35.47, 100
37.70, 4
48.87, 4
51.04, 14
52.73, 4
61.82, 4
63.69, 25
67.70, 5
70.90, 4
75.07, 7

Structural model:
a b c (Å): 10.1229 10.1229 10.1229
angles (deg): 60.00 60.00 60.00
Fractional positions:
Tm  0.0000  0.0000  0.0000
Cd  0.0000  0.0000  0.5000
Cd  0.0000  0.5000  0.0000
Cd  0.0000  0.5000  0.5000
Cd  0.1210  0.6263  0.6263
Cd  0.1456  0.1456  0.1456
Cd  0.1456  0.1456  0.5631
Cd  0.1456  0.5631  0.1456
Cd  0.3737  0.3737  0.3737
Cd  0.3737  0.3737  0.8790
Cd  0.3737  0.8790  0.3737
Cd  0.4369  0.8544  0.8544
Cd  0.5000  0.0000  0.0000
Cd  0.5000  0.0000  0.5000
Cd  0.5000  0.5000  0.0000
Cd  0.5000  0.5000  0.5000
Cd  0.5631  0.1456  0.1456
Cd  0.6263  0.1210  0.6263
Cd  0.6263  0.6263  0.1210
Cd  0.6263  0.6263  0.6263
Cd  0.8544  0.4369  0.8544
Cd  0.8544  0.8544  0.4369
Cd  0.8544  0.8544  0.8544
Cd  0.8790  0.3737  0.3737
In  0.2305  0.2305  0.7695
In  0.2305  0.7695  0.2305
In  0.2305  0.7695  0.7695
In  0.7695  0.2305  0.2305
In  0.7695  0.2305  0.7695
In  0.7695  0.7695  0.2305


For Mo2WSe2S4, a structure optimized by DFT (GGA-PBE) gives the simulated powder XRD pattern in this record (Cu Kα, 1.54184 Å).

Top 12 peaks for 10 to 80 degrees two-theta, in order of rising 2θ:
2θ (°), Rel. int.
12.12, 100
31.96, 19
33.02, 6
34.30, 12
36.02, 22
38.14, 31
43.36, 25
46.37, 18
49.94, 6
56.96, 13
58.47, 10
79.12, 9

Structural model:
a b c (Å): 3.2334 3.2334 21.9127
angles (deg): 90.00 90.00 120.00
Fractional positions:
Mo  0.0000  0.0000  0.1674
Mo  0.0000  0.0000  0.8326
W  0.3333  0.6667  0.5000
Se  0.0000  0.0000  0.4217
Se  0.0000  0.0000  0.5783
S  0.3333  0.6667  0.0967
S  0.3333  0.6667  0.2382
S  0.3333  0.6667  0.7618
S  0.3333  0.6667  0.9033